For Li2VP2O8, a structure optimized by DFT (GGA+U) gives the computed powder diffractogram in this record (Cu Kα X-rays).

Largest 10 diffraction maxima, most intense first, 5° ≤ 2θ ≤ 70°:
2θ (°)	Rel. int.
20.38	100
23.47	38
30.55	31
23.23	25
15.14	24
35.95	22
36.19	20
36.93	15
41.40	15
25.57	14

Crystal structure
```
data_Li2VP2O8
_symmetry_space_group_name_H-M 'P 1 c 1'
_symmetry_Int_Tables_number 7
_cell_length_a 5.853
_cell_length_b 4.836
_cell_length_c 10.036
_cell_angle_alpha 90.00
_cell_angle_beta 90.58
_cell_angle_gamma 90.00
loop_
_symmetry_equiv_pos_as_xyz
'x,y,z'
'x,-y,z+1/2'
loop_
_atom_site_label
_atom_site_type_symbol
_atom_site_fract_x
_atom_site_fract_y
_atom_site_fract_z
Li1 Li 0.000 0.217 0.000
Li2 Li 0.189 0.246 0.706
V1 V 0.517 0.281 0.444
P1 P 0.014 0.299 0.316
P2 P 0.509 0.150 0.122
O1 O 0.011 0.418 0.177
O2 O 0.020 0.011 0.827
O3 O 0.233 0.441 0.390
O4 O 0.304 0.012 0.555
O5 O 0.501 0.465 0.102
O6 O 0.511 0.076 0.272
O7 O 0.706 0.005 0.045
O8 O 0.805 0.429 0.398
```